Starting from DFT lattice parameters and positions (PBE), the XRD peak list of BiPO5 was calculated for Cu Kα (weighted mean of Kα1 and Kα2).
Peak positions follow from Bragg's law for the DFT cell and can differ from measured ones.

Cell and atoms:
```
data_BiPO5
_chemical_formula_sum 'Bi16 P16 O80'
_space_group_name_H-M_alt 'F d d 2'
_space_group_IT_number 43
_space_group_name_Hall 'F 2 -2d'
_cell_length_a 12.805
_cell_length_b 17.174
_cell_length_c 7.448
_cell_angle_alpha 90.00
_cell_angle_beta 90.00
_cell_angle_gamma 90.00
loop_
_atom_site_label
_atom_site_type_symbol
_atom_site_fract_x
_atom_site_fract_y
_atom_site_fract_z
_atom_site_occupancy
Bi1 Bi 0.121 0.377 0.000 1
P1 P 0.001 0.213 0.124 1
O1 O 0.005 0.069 0.626 1
O2 O 0.006 0.340 0.791 1
O3 O 0.011 0.162 0.954 1
O4 O 0.098 0.267 0.146 1
O5 O 0.101 0.236 0.604 1
```

Principal peaks in the range 2θ = 15–90°, most intense first:
- 29.6 deg, rel. 100, (2 2 2)
- 20.7 deg, rel. 83, (0 4 0)
- 28.7 deg, rel. 51, (3 3 1)
- 42.3 deg, rel. 42, (2 6 2)
- 24.6 deg, rel. 42, (3 1 1)
- 29.5 deg, rel. 41, (1 5 1)



Starting from DFT lattice parameters and positions (PBE), the XRD peak list of Bi3P2O10 was calculated for Cu Kα (weighted mean of Kα1 and Kα2).
Peak positions follow from Bragg's law for the DFT cell and can differ from measured ones.

Cell and atoms:
```
data_Bi3P2O10
_chemical_formula_sum 'Bi6 P4 O20'
_space_group_name_H-M_alt 'P -1'
_space_group_IT_number 2
_cell_length_a 6.963
_cell_length_b 7.130
_cell_length_c 9.338
_cell_angle_alpha 111.90
_cell_angle_beta 106.77
_cell_angle_gamma 91.12
loop_
_space_group_symop_operation_xyz
'x,y,z'
'-x,-y,-z'
loop_
_atom_site_label
_atom_site_type_symbol
_atom_site_fract_x
_atom_site_fract_y
_atom_site_fract_z
_atom_site_occupancy
Bi1 Bi 0.193 0.326 0.403 1
Bi2 Bi 0.227 0.099 0.977 1
Bi3 Bi 0.271 0.730 0.199 1
P1 P 0.227 0.475 0.799 1
P2 P 0.314 0.869 0.597 1
O1 O 0.067 0.483 0.645 1
O2 O 0.104 0.981 0.138 1
O3 O 0.122 0.342 0.863 1
O4 O 0.132 0.880 0.662 1
O5 O 0.210 0.376 0.183 1
O6 O 0.271 0.946 0.456 1
O7 O 0.302 0.690 0.940 1
O8 O 0.378 0.654 0.532 1
O9 O 0.400 0.380 0.739 1
O10 O 0.497 0.004 0.748 1
```

Principal peaks in the range 2θ = 15–90°, most intense first:
- 29.9 deg, rel. 100, (0 1 2)
- 27.0 deg, rel. 95, (2 0 0)
- 28.2 deg, rel. 94, (1 -2 1)
- 28.7 deg, rel. 87, (1 2 -1)
- 20.4 deg, rel. 61, (0 1 1)
- 28.9 deg, rel. 39, (-1 1 2)



Starting from DFT lattice parameters and positions (PBE), the XRD peak list of BiP2O7 was calculated for Cu Kα (weighted mean of Kα1 and Kα2).
Peak positions follow from Bragg's law for the DFT cell and can differ from measured ones.

Cell and atoms:
```
data_BiP2O7
_chemical_formula_sum 'Bi8 P16 O56'
_space_group_name_H-M_alt 'C 1 2/c 1'
_space_group_IT_number 15
_cell_length_a 10.415
_cell_length_b 8.783
_cell_length_c 14.055
_cell_angle_alpha 90.00
_cell_angle_beta 111.18
_cell_angle_gamma 90.00
loop_
_space_group_symop_operation_xyz
'x,y,z'
'-x,-y,-z'
'-x,y,-z+1/2'
'x,-y,z+1/2'
'x+1/2,y+1/2,z'
'-x+1/2,-y+1/2,-z'
'-x+1/2,y+1/2,-z+1/2'
'x+1/2,-y+1/2,z+1/2'
loop_
_atom_site_label
_atom_site_type_symbol
_atom_site_fract_x
_atom_site_fract_y
_atom_site_fract_z
_atom_site_occupancy
Bi1 Bi 0.133 0.248 0.139 1
P1 P 0.131 0.037 0.929 1
P2 P 0.174 0.431 0.369 1
O1 O 0.000 0.041 0.140 1
O2 O 0.040 0.426 0.391 1
O3 O 0.099 0.187 0.973 1
O4 O 0.185 0.414 0.821 1
O5 O 0.193 0.292 0.310 1
O6 O 0.199 0.082 0.522 1
O7 O 0.232 0.058 0.873 1
```

Principal peaks in the range 2θ = 15–90°, most intense first:
- 16.6 deg, rel. 100, (1 1 1)
- 27.5 deg, rel. 47, (2 2 -2)
- 21.6 deg, rel. 41, (1 1 -3)
- 27.8 deg, rel. 36, (3 1 -1)
- 27.2 deg, rel. 25, (0 0 4)
- 33.6 deg, rel. 23, (2 2 2)



Starting from DFT lattice parameters and positions (PBE), the XRD peak list of Bi2PO6 was calculated for Cu Kα (weighted mean of Kα1 and Kα2).
Peak positions follow from Bragg's law for the DFT cell and can differ from measured ones.

Cell and atoms:
```
data_Bi2PO6
_chemical_formula_sum 'Bi8 P4 O24'
_space_group_name_H-M_alt 'C c c e'
_space_group_IT_number 68
_cell_length_a 5.730
_cell_length_b 14.638
_cell_length_c 5.761
_cell_angle_alpha 90.00
_cell_angle_beta 90.00
_cell_angle_gamma 90.00
loop_
_space_group_symop_operation_xyz
'x,y,z'
'-x,-y,-z'
'-x+1/2,-y,z'
'x+1/2,y,-z'
'x+1/2,-y,-z+1/2'
'-x+1/2,y,z+1/2'
'-x,y,-z+1/2'
'x,-y,z+1/2'
'x+1/2,y+1/2,z'
'-x+1/2,-y+1/2,-z'
'-x,-y+1/2,z'
'x,y+1/2,-z'
'x,-y+1/2,-z+1/2'
'-x,y+1/2,z+1/2'
'-x+1/2,y+1/2,-z+1/2'
'x+1/2,-y+1/2,z+1/2'
loop_
_atom_site_label
_atom_site_type_symbol
_atom_site_fract_x
_atom_site_fract_y
_atom_site_fract_z
_atom_site_occupancy
Bi1 Bi 0.000 0.084 0.250 1
P1 P 0.000 0.250 0.750 1
O1 O 0.150 0.183 0.601 1
O2 O 0.250 0.000 0.488 1
```

Principal peaks in the range 2θ = 15–90°, most intense first:
- 28.6 deg, rel. 100, (1 3 1)
- 22.7 deg, rel. 20, (1 1 1)
- 48.9 deg, rel. 19, (0 6 2)
- 44.6 deg, rel. 17, (2 0 2)
- 53.7 deg, rel. 16, (1 3 3)
- 54.0 deg, rel. 16, (3 3 1)